Entry 1:
The following is a simulated PXRD pattern of Fe3Co11. It was derived from a crystal structure in Alexandria, relaxed with PBE, using Cu Ka.
Lines closer than 0.1° are merged.

Structural model:
```
data_Fe3Co11
_cell_length_a 6.742
_cell_length_b 6.742
_cell_length_c 6.742
_cell_angle_alpha 146.31
_cell_angle_beta 97.18
_cell_angle_gamma 92.46
_space_group_name_H-M_alt 'P 1'
_space_group_IT_number 1
loop_
_space_group_symop_operation_xyz
'x,y,z'
loop_
_atom_site_label
_atom_site_type_symbol
_atom_site_fract_x
_atom_site_fract_y
_atom_site_fract_z
_atom_site_occupancy
Fe1 Fe 0.000 0.000 0.000 1
Fe2 Fe 0.277 0.277 0.000 1
Fe3 Fe 0.723 0.723 0.000 1
Co1 Co 0.004 0.629 0.375 1
Co2 Co 0.127 0.853 0.274 1
Co3 Co 0.254 0.629 0.625 1
Co4 Co 0.356 0.500 0.856 1
Co5 Co 0.421 0.147 0.274 1
Co6 Co 0.500 0.000 0.500 1
Co7 Co 0.579 0.853 0.726 1
Co8 Co 0.644 0.500 0.144 1
Co9 Co 0.746 0.371 0.375 1
Co10 Co 0.873 0.147 0.726 1
Co11 Co 0.996 0.371 0.625 1
```

Principal peaks in the range 2θ from 10° to 90°, by angle:
2θ 38.03, intensity 22.9
2θ 42.32, intensity 75.8
2θ 42.86, intensity 27.9
2θ 43.81, intensity 27.8
2θ 46.48, intensity 100.0
2θ 47.98, intensity 72.1
2θ 49.94, intensity 9.1
2θ 55.31, intensity 14.9
2θ 59.77, intensity 9.1
2θ 65.78, intensity 14.9
2θ 87.34, intensity 11.2
2θ 89.22, intensity 22.9

Entry 2:
The following is a simulated PXRD pattern of Ba4La4Cu4B3O18. It was derived from a crystal structure in Alexandria, relaxed with PBE, using Cu Ka.
Lines closer than 0.1° are merged.

Structural model:
```
data_Ba4La4Cu4B3O18
_cell_length_a 7.745
_cell_length_b 8.152
_cell_length_c 7.759
_cell_angle_alpha 90.00
_cell_angle_beta 90.00
_cell_angle_gamma 90.00
_space_group_name_H-M_alt 'P 1'
_space_group_IT_number 1
loop_
_space_group_symop_operation_xyz
'x,y,z'
loop_
_atom_site_label
_atom_site_type_symbol
_atom_site_fract_x
_atom_site_fract_y
_atom_site_fract_z
_atom_site_occupancy
Ba1 Ba 0.243 0.246 0.000 1
Ba2 Ba 0.243 0.754 0.000 1
Ba3 Ba 0.757 0.246 0.000 1
Ba4 Ba 0.757 0.754 0.000 1
La1 La 0.252 0.266 0.481 1
La2 La 0.252 0.734 0.481 1
La3 La 0.748 0.266 0.481 1
La4 La 0.748 0.734 0.481 1
Cu1 Cu 0.000 0.000 0.257 1
Cu2 Cu 0.000 0.500 0.264 1
Cu3 Cu 0.500 0.000 0.298 1
Cu4 Cu 0.500 0.500 0.252 1
B1 B 0.000 0.500 0.755 1
B2 B 0.500 0.000 0.759 1
B3 B 0.500 0.500 0.760 1
O1 O 0.000 0.000 0.983 1
O2 O 0.000 0.255 0.280 1
O3 O 0.000 0.348 0.669 1
O4 O 0.000 0.500 0.934 1
O5 O 0.000 0.652 0.669 1
O6 O 0.000 0.745 0.280 1
O7 O 0.249 0.500 0.284 1
O8 O 0.250 0.000 0.352 1
O9 O 0.344 0.500 0.671 1
O10 O 0.500 0.000 0.939 1
O11 O 0.500 0.150 0.674 1
O12 O 0.500 0.252 0.278 1
O13 O 0.500 0.500 0.939 1
O14 O 0.500 0.748 0.278 1
O15 O 0.500 0.850 0.674 1
O16 O 0.656 0.500 0.671 1
O17 O 0.750 0.000 0.352 1
O18 O 0.751 0.500 0.284 1
```

Principal peaks in the range 2θ from 10° to 90°, by angle:
2θ 11.40, intensity 19.4
2θ 21.80, intensity 18.1
2θ 22.94, intensity 31.3
2θ 31.86, intensity 100.0
2θ 32.67, intensity 53.3
2θ 39.63, intensity 30.6
2θ 44.45, intensity 13.8
2θ 46.89, intensity 22.0
2θ 52.26, intensity 9.8
2θ 56.25, intensity 18.7
2θ 57.80, intensity 35.4
2θ 66.59, intensity 13.0

Entry 3:
The following is a simulated PXRD pattern of Ho4GeSbTe2. It was derived from a crystal structure in Alexandria, relaxed with PBE, using Cu Ka.
Lines closer than 0.1° are merged.

Structural model:
```
data_Ho4GeSbTe2
_cell_length_a 7.467
_cell_length_b 4.290
_cell_length_c 7.492
_cell_angle_alpha 90.00
_cell_angle_beta 109.24
_cell_angle_gamma 90.00
_space_group_name_H-M_alt 'P 1'
_space_group_IT_number 1
loop_
_space_group_symop_operation_xyz
'x,y,z'
loop_
_atom_site_label
_atom_site_type_symbol
_atom_site_fract_x
_atom_site_fract_y
_atom_site_fract_z
_atom_site_occupancy
Ho1 Ho 0.229 0.000 0.224 1
Ho2 Ho 0.242 0.500 0.770 1
Ho3 Ho 0.758 0.500 0.230 1
Ho4 Ho 0.771 0.000 0.776 1
Ge1 Ge 0.000 0.500 0.000 1
Sb1 Sb 0.500 0.000 0.000 1
Te1 Te 0.000 0.000 0.500 1
Te2 Te 0.500 0.500 0.500 1
```

Principal peaks in the range 2θ from 10° to 90°, by angle:
2θ 29.30, intensity 100.0
2θ 41.71, intensity 11.8
2θ 41.86, intensity 23.9
2θ 41.97, intensity 25.0
2θ 42.13, intensity 12.8
2θ 51.69, intensity 5.8
2θ 51.88, intensity 6.4
2θ 52.14, intensity 13.3
2θ 60.77, intensity 11.5
2θ 68.79, intensity 9.6
2θ 68.95, intensity 10.7
2θ 76.85, intensity 8.2

Entry 4:
The following is a simulated PXRD pattern of Ce2ZrIn. It was derived from a crystal structure in Alexandria, relaxed with PBE, using Cu Ka.
Lines closer than 0.1° are merged.

Structural model:
```
data_Ce2ZrIn
_cell_length_a 4.239
_cell_length_b 4.230
_cell_length_c 11.385
_cell_angle_alpha 90.00
_cell_angle_beta 99.20
_cell_angle_gamma 90.00
_space_group_name_H-M_alt 'P 1'
_space_group_IT_number 1
loop_
_space_group_symop_operation_xyz
'x,y,z'
loop_
_atom_site_label
_atom_site_type_symbol
_atom_site_fract_x
_atom_site_fract_y
_atom_site_fract_z
_atom_site_occupancy
Ce1 Ce 0.015 0.250 0.124 1
Ce2 Ce 0.406 0.250 0.881 1
Ce3 Ce 0.594 0.750 0.119 1
Ce4 Ce 0.985 0.750 0.876 1
Zr1 Zr 0.306 0.750 0.601 1
Zr2 Zr 0.694 0.250 0.399 1
In1 In 0.173 0.750 0.341 1
In2 In 0.827 0.250 0.659 1
```

Principal peaks in the range 2θ from 10° to 90°, by angle:
2θ 31.85, intensity 98.4
2θ 31.98, intensity 93.0
2θ 32.41, intensity 93.5
2θ 35.72, intensity 95.6
2θ 36.37, intensity 83.3
2θ 38.46, intensity 15.4
2θ 42.72, intensity 100.0
2θ 53.47, intensity 19.3
2θ 54.29, intensity 41.0
2θ 61.42, intensity 17.2
2θ 62.00, intensity 29.9
2θ 70.76, intensity 17.2

Entry 5:
The following is a simulated PXRD pattern of Cs2PmSbTe4. It was derived from a crystal structure in Alexandria, relaxed with PBE, using Cu Ka.
Lines closer than 0.1° are merged.

Structural model:
```
data_Cs2PmSbTe4
_cell_length_a 9.770
_cell_length_b 9.770
_cell_length_c 9.770
_cell_angle_alpha 120.34
_cell_angle_beta 119.68
_cell_angle_gamma 89.98
_space_group_name_H-M_alt 'P 1'
_space_group_IT_number 1
loop_
_space_group_symop_operation_xyz
'x,y,z'
loop_
_atom_site_label
_atom_site_type_symbol
_atom_site_fract_x
_atom_site_fract_y
_atom_site_fract_z
_atom_site_occupancy
Cs1 Cs 0.000 0.000 0.000 1
Cs2 Cs 0.500 0.000 0.000 1
Cs3 Cs 0.500 0.000 0.500 1
Cs4 Cs 0.500 0.500 0.500 1
Pm1 Pm 0.000 0.000 0.500 1
Pm2 Pm 0.000 0.500 0.000 1
Sb1 Sb 0.000 0.500 0.500 1
Sb2 Sb 0.500 0.500 0.000 1
Te1 Te 0.192 0.729 0.464 1
Te2 Te 0.231 0.272 0.541 1
Te3 Te 0.231 0.691 0.959 1
Te4 Te 0.235 0.271 0.964 1
Te5 Te 0.765 0.729 0.036 1
Te6 Te 0.769 0.309 0.041 1
Te7 Te 0.769 0.728 0.459 1
Te8 Te 0.808 0.271 0.536 1
```

Principal peaks in the range 2θ from 10° to 90°, by angle:
2θ 11.09, intensity 8.8
2θ 25.79, intensity 100.0
2θ 33.64, intensity 5.8
2θ 36.61, intensity 12.2
2θ 36.80, intensity 46.5
2θ 37.00, intensity 11.2
2θ 45.32, intensity 11.9
2θ 45.65, intensity 11.1
2θ 53.03, intensity 9.4
2θ 59.88, intensity 15.8
2θ 66.04, intensity 5.8
2θ 66.54, intensity 5.1

Entry 6:
The following is a simulated PXRD pattern of Tm2Sc2Cd3. It was derived from a crystal structure in Alexandria, relaxed with PBE, using Cu Ka.
Lines closer than 0.1° are merged.

Structural model:
```
data_Tm2Sc2Cd3
_cell_length_a 11.649
_cell_length_b 11.649
_cell_length_c 3.239
_cell_angle_alpha 90.00
_cell_angle_beta 90.00
_cell_angle_gamma 157.54
_space_group_name_H-M_alt 'P 1'
_space_group_IT_number 1
loop_
_space_group_symop_operation_xyz
'x,y,z'
loop_
_atom_site_label
_atom_site_type_symbol
_atom_site_fract_x
_atom_site_fract_y
_atom_site_fract_z
_atom_site_occupancy
Tm1 Tm 0.073 0.927 0.000 1
Tm2 Tm 0.927 0.073 0.000 1
Sc1 Sc 0.208 0.792 0.000 1
Sc2 Sc 0.792 0.208 0.000 1
Cd1 Cd 0.346 0.654 0.500 1
Cd2 Cd 0.500 0.500 0.500 1
Cd3 Cd 0.654 0.346 0.500 1
```

Principal peaks in the range 2θ from 10° to 90°, by angle:
2θ 27.71, intensity 20.0
2θ 33.83, intensity 87.3
2θ 34.24, intensity 100.0
2θ 36.42, intensity 50.9
2θ 39.74, intensity 30.1
2θ 42.18, intensity 20.0
2θ 54.99, intensity 30.5
2θ 59.34, intensity 14.7
2θ 63.63, intensity 20.2
2θ 67.83, intensity 22.0
2θ 68.62, intensity 12.8
2θ 71.58, intensity 15.3